[1]
This entry pairs a crystal structure of CeCu4P2 with its simulated X-ray powder pattern. Radiation: λ = 1.5418 Å (Cu Kα). Structure: a DFT-relaxed cell (PBE, the Materials Project).

Most intense lines, 2θ from 10° to 90°, sorted by position:
d = 2.647 Å, intensity 244, hkl 2 3 1; d = 2.583 Å, intensity 542, hkl 1 4 1; d = 2.559 Å, intensity 399, hkl 4 2 0; d = 2.487 Å, intensity 895, hkl 3 2 1; d = 2.327 Å, intensity 1000, hkl 3 3 1; d = 2.288 Å, intensity 223, hkl 3 5 0; d = 2.149 Å, intensity 319, hkl 2 5 1; d = 2.065 Å, intensity 290, hkl 1 7 0; d = 1.967 Å, intensity 240, hkl 3 5 1; d = 1.923 Å, intensity 627, hkl 0 0 2

Cell and atoms:
Cell: 10.916 14.717 3.845 Å, 90.00 90.00 90.00°
Sites, in units of the cell vectors:
Ce: 0.000 0.000 0.000
Ce: 0.122 0.273 0.000
Ce: 0.378 0.773 0.500
Ce: 0.500 0.500 0.500
Ce: 0.622 0.227 0.500
Ce: 0.878 0.727 0.000
Cu: 0.071 0.562 0.000
Cu: 0.078 0.830 0.500
Cu: 0.103 0.447 0.500
Cu: 0.174 0.713 0.000
Cu: 0.234 0.964 0.500
Cu: 0.244 0.589 0.500
Cu: 0.256 0.089 0.000
Cu: 0.266 0.464 0.000
Cu: 0.326 0.213 0.500
Cu: 0.397 0.947 0.000
Cu: 0.422 0.330 0.000
Cu: 0.429 0.062 0.500
Cu: 0.571 0.938 0.500
Cu: 0.578 0.670 0.000
Cu: 0.603 0.053 0.000
Cu: 0.674 0.787 0.500
Cu: 0.734 0.536 0.000
Cu: 0.744 0.911 0.000
Cu: 0.756 0.411 0.500
Cu: 0.766 0.036 0.500
Cu: 0.826 0.287 0.000
Cu: 0.897 0.553 0.500
Cu: 0.922 0.170 0.500
Cu: 0.929 0.438 0.000
P: 0.056 0.665 0.500
P: 0.128 0.116 0.500
P: 0.205 0.869 0.000
P: 0.295 0.369 0.500
P: 0.372 0.616 0.000
P: 0.444 0.165 0.000
P: 0.556 0.835 0.000
P: 0.628 0.384 0.000
P: 0.705 0.631 0.500
P: 0.795 0.131 0.000
P: 0.872 0.884 0.500
P: 0.944 0.335 0.500

***

[2]
This entry pairs a crystal structure of CeCuPb with its simulated X-ray powder pattern. Radiation: λ = 1.5418 Å (Cu Kα). Structure: a DFT-relaxed cell (PBE, the Materials Project).

Most intense lines, 2θ from 10° to 90°, sorted by position:
d = 3.584 Å, intensity 452, hkl 1 0 1; d = 2.756 Å, intensity 1000, hkl 1 0 2; d = 2.359 Å, intensity 798, hkl 1 1 0; d = 2.126 Å, intensity 236, hkl 1 0 3; d = 1.792 Å, intensity 283, hkl 2 0 2; d = 1.464 Å, intensity 224, hkl 1 1 4; d = 1.427 Å, intensity 267, hkl 2 1 2; d = 1.362 Å, intensity 140, hkl 3 0 0; d = 1.312 Å, intensity 102, hkl 2 1 3; d = 1.100 Å, intensity 104, hkl 3 0 4

Cell and atoms:
Cell: 4.717 4.717 7.469 Å, 90.00 90.00 120.00°
Sites, in units of the cell vectors:
Ce: 0.000 0.000 0.000
Ce: 0.000 0.000 0.500
Cu: 0.333 0.667 0.312
Cu: 0.667 0.333 0.812
Pb: 0.333 0.667 0.731
Pb: 0.667 0.333 0.231

***

Please write out number 1 again, unchanged.
This entry pairs a crystal structure of CeCu4P2 with its simulated X-ray powder pattern. Radiation: λ = 1.5418 Å (Cu Kα). Structure: a DFT-relaxed cell (PBE, the Materials Project).

Most intense lines, 2θ from 10° to 90°, sorted by position:
d = 2.647 Å, intensity 244, hkl 2 3 1; d = 2.583 Å, intensity 542, hkl 1 4 1; d = 2.559 Å, intensity 399, hkl 4 2 0; d = 2.487 Å, intensity 895, hkl 3 2 1; d = 2.327 Å, intensity 1000, hkl 3 3 1; d = 2.288 Å, intensity 223, hkl 3 5 0; d = 2.149 Å, intensity 319, hkl 2 5 1; d = 2.065 Å, intensity 290, hkl 1 7 0; d = 1.967 Å, intensity 240, hkl 3 5 1; d = 1.923 Å, intensity 627, hkl 0 0 2

Cell and atoms:
Cell: 10.916 14.717 3.845 Å, 90.00 90.00 90.00°
Sites, in units of the cell vectors:
Ce: 0.000 0.000 0.000
Ce: 0.122 0.273 0.000
Ce: 0.378 0.773 0.500
Ce: 0.500 0.500 0.500
Ce: 0.622 0.227 0.500
Ce: 0.878 0.727 0.000
Cu: 0.071 0.562 0.000
Cu: 0.078 0.830 0.500
Cu: 0.103 0.447 0.500
Cu: 0.174 0.713 0.000
Cu: 0.234 0.964 0.500
Cu: 0.244 0.589 0.500
Cu: 0.256 0.089 0.000
Cu: 0.266 0.464 0.000
Cu: 0.326 0.213 0.500
Cu: 0.397 0.947 0.000
Cu: 0.422 0.330 0.000
Cu: 0.429 0.062 0.500
Cu: 0.571 0.938 0.500
Cu: 0.578 0.670 0.000
Cu: 0.603 0.053 0.000
Cu: 0.674 0.787 0.500
Cu: 0.734 0.536 0.000
Cu: 0.744 0.911 0.000
Cu: 0.756 0.411 0.500
Cu: 0.766 0.036 0.500
Cu: 0.826 0.287 0.000
Cu: 0.897 0.553 0.500
Cu: 0.922 0.170 0.500
Cu: 0.929 0.438 0.000
P: 0.056 0.665 0.500
P: 0.128 0.116 0.500
P: 0.205 0.869 0.000
P: 0.295 0.369 0.500
P: 0.372 0.616 0.000
P: 0.444 0.165 0.000
P: 0.556 0.835 0.000
P: 0.628 0.384 0.000
P: 0.705 0.631 0.500
P: 0.795 0.131 0.000
P: 0.872 0.884 0.500
P: 0.944 0.335 0.500

***

Question: Number 2 is which compound?
Answer: CeCuPb